No. 1
Diffraction record for CePmBiSe. The powder X-ray diffraction pattern is theoretical, not measured: it uses a structure optimized by DFT (GGA-PBE) and Cu Kα (λ = 1.5418 Å).

Atomic structure:
a = 4.297 Å, b = 4.297 Å, c = 22.793 Å
α = 90.00°, β = 90.00°, γ = 120.00°
Positions (direct):
Ce 0.000 0.000 0.000
Ce 0.333 0.667 0.667
Ce 0.667 0.333 0.333
Pm 0.000 0.000 0.816
Pm 0.333 0.667 0.483
Pm 0.667 0.333 0.149
Bi 0.000 0.000 0.241
Bi 0.333 0.667 0.907
Bi 0.667 0.333 0.574
Se 0.000 0.000 0.411
Se 0.333 0.667 0.078
Se 0.667 0.333 0.744

Main lines, in order of falling intensity (10° ≤ 2θ ≤ 90°):
2θ (°)  Rel. int.
31.02  100.0
42.06  57.4
36.67  40.1
28.65  38.1
25.17  27.8
65.60  24.8


No. 2
Diffraction record for NaSrScBr6. The powder X-ray diffraction pattern is theoretical, not measured: it uses a structure optimized by DFT (GGA-PBE) and Cu Kα (λ = 1.5418 Å).

Atomic structure:
a = 7.397 Å, b = 7.397 Å, c = 12.937 Å
α = 90.00°, β = 90.00°, γ = 120.00°
Positions (direct):
Na 0.000 0.000 0.000
Na 0.000 0.000 0.500
Sr 0.333 0.667 0.250
Sr 0.667 0.333 0.750
Sc 0.333 0.667 0.750
Sc 0.667 0.333 0.250
Br 0.040 0.371 0.629
Br 0.040 0.669 0.871
Br 0.331 0.371 0.871
Br 0.331 0.960 0.629
Br 0.371 0.040 0.129
Br 0.371 0.331 0.371
Br 0.629 0.669 0.629
Br 0.629 0.960 0.871
Br 0.669 0.040 0.371
Br 0.669 0.629 0.129
Br 0.960 0.331 0.129
Br 0.960 0.629 0.371

Main lines, in order of falling intensity (10° ≤ 2θ ≤ 90°):
2θ (°)  Rel. int.
27.79  100.0
36.92  40.8
42.33  29.1
48.90  21.2
51.39  12.7
19.50  12.3


No. 3
Diffraction record for Tb2PmYTm5. The powder X-ray diffraction pattern is theoretical, not measured: it uses a structure optimized by DFT (GGA-PBE) and Cu Kα (λ = 1.5418 Å).

Atomic structure:
a = 9.652 Å, b = 9.652 Å, c = 9.652 Å
α = 125.72°, β = 125.72°, γ = 80.35°
Positions (direct):
Tb 0.114 0.614 0.727
Tb 0.386 0.114 0.500
Tb 0.614 0.886 0.500
Tb 0.886 0.386 0.273
Pm 0.250 0.250 0.000
Pm 0.750 0.750 0.000
Y 0.250 0.750 0.500
Y 0.750 0.250 0.500
Tm 0.000 0.000 0.000
Tm 0.074 0.160 0.500
Tm 0.160 0.660 0.086
Tm 0.340 0.426 0.500
Tm 0.426 0.926 0.086
Tm 0.500 0.500 0.000
Tm 0.574 0.074 0.914
Tm 0.660 0.574 0.500
Tm 0.840 0.340 0.914
Tm 0.926 0.840 0.500

Main lines, in order of falling intensity (10° ≤ 2θ ≤ 90°):
2θ (°)  Rel. int.
31.65  100.0
29.05  54.4
28.67  51.5
42.81  23.6
37.32  22.3
32.14  21.8


No. 4
Diffraction record for Rb2Au2I7. The powder X-ray diffraction pattern is theoretical, not measured: it uses a structure optimized by DFT (GGA-PBE) and Cu Kα (λ = 1.5418 Å).

Atomic structure:
a = 5.270 Å, b = 22.957 Å, c = 8.908 Å
α = 90.00°, β = 94.58°, γ = 90.00°
Positions (direct):
Rb 0.227 0.141 0.040
Rb 0.227 0.359 0.540
Rb 0.773 0.641 0.460
Rb 0.773 0.859 0.960
Au 0.235 0.599 0.878
Au 0.235 0.901 0.378
Au 0.765 0.099 0.622
Au 0.765 0.401 0.122
I 0.000 0.000 0.500
I 0.000 0.500 0.000
I 0.227 0.648 0.149
I 0.227 0.852 0.649
I 0.303 0.541 0.626
I 0.303 0.959 0.126
I 0.308 0.705 0.736
I 0.308 0.795 0.236
I 0.692 0.205 0.764
I 0.692 0.295 0.264
I 0.697 0.041 0.874
I 0.697 0.459 0.374
I 0.773 0.148 0.351
I 0.773 0.352 0.851

Main lines, in order of falling intensity (10° ≤ 2θ ≤ 90°):
2θ (°)  Rel. int.
17.32  100.0
20.69  61.8
21.76  61.3
34.03  50.5
34.14  40.3
30.15  39.0


No. 5
Diffraction record for Li2MnTlCl8. The powder X-ray diffraction pattern is theoretical, not measured: it uses a structure optimized by DFT (GGA-PBE) and Cu Kα (λ = 1.5418 Å).

Atomic structure:
a = 6.259 Å, b = 6.370 Å, c = 7.647 Å
α = 87.55°, β = 88.53°, γ = 78.31°
Positions (direct):
Li 0.062 0.063 0.254
Li 0.938 0.937 0.746
Mn 0.500 0.500 0.500
Tl 0.500 0.500 0.000
Cl 0.216 0.845 0.989
Cl 0.228 0.808 0.502
Cl 0.279 0.343 0.257
Cl 0.317 0.348 0.718
Cl 0.683 0.652 0.282
Cl 0.721 0.657 0.743
Cl 0.772 0.192 0.498
Cl 0.784 0.155 0.011

Main lines, in order of falling intensity (10° ≤ 2θ ≤ 90°):
2θ (°)  Rel. int.
14.21  100.0
14.45  98.3
18.14  84.8
29.02  67.3
30.32  48.7
22.30  44.3


No. 6
Diffraction record for Rb2ZrGeSe4. The powder X-ray diffraction pattern is theoretical, not measured: it uses a structure optimized by DFT (GGA-PBE) and Cu Kα (λ = 1.5418 Å).

Atomic structure:
a = 14.172 Å, b = 12.700 Å, c = 8.008 Å
α = 83.06°, β = 62.82°, γ = 34.12°
Positions (direct):
Rb 0.056 0.056 0.694
Rb 0.306 0.306 0.944
Rb 0.694 0.694 0.056
Rb 0.944 0.944 0.306
Zr 0.125 0.125 0.125
Zr 0.875 0.875 0.875
Ge 0.375 0.375 0.375
Ge 0.625 0.625 0.625
Se 0.047 0.313 0.399
Se 0.259 0.601 0.687
Se 0.313 0.047 0.741
Se 0.399 0.741 0.047
Se 0.601 0.259 0.953
Se 0.687 0.953 0.259
Se 0.741 0.399 0.313
Se 0.953 0.687 0.601

Main lines, in order of falling intensity (10° ≤ 2θ ≤ 90°):
2θ (°)  Rel. int.
25.00  100.0
29.03  84.6
33.75  58.1
14.51  48.4
14.28  41.7
45.82  40.0


No. 7
Diffraction record for Tl2PbAu. The powder X-ray diffraction pattern is theoretical, not measured: it uses a structure optimized by DFT (GGA-PBE) and Cu Kα (λ = 1.5418 Å).

Atomic structure:
a = 3.711 Å, b = 3.711 Å, c = 28.626 Å
α = 90.00°, β = 90.00°, γ = 120.00°
Positions (direct):
Tl 0.000 0.000 0.000
Tl 0.000 0.000 0.191
Tl 0.333 0.667 0.667
Tl 0.333 0.667 0.857
Tl 0.667 0.333 0.333
Tl 0.667 0.333 0.524
Pb 0.000 0.000 0.430
Pb 0.333 0.667 0.096
Pb 0.667 0.333 0.763
Au 0.000 0.000 0.595
Au 0.333 0.667 0.262
Au 0.667 0.333 0.929

Main lines, in order of falling intensity (10° ≤ 2θ ≤ 90°):
2θ (°)  Rel. int.
31.93  100.0
35.53  43.0
49.09  39.1
63.51  25.5
37.68  24.7
28.46  24.2


No. 8
Diffraction record for GaSn2H2Pd7. The powder X-ray diffraction pattern is theoretical, not measured: it uses a structure optimized by DFT (GGA-PBE) and Cu Kα (λ = 1.5418 Å).

Atomic structure:
a = 4.022 Å, b = 4.022 Å, c = 10.764 Å
α = 95.97°, β = 95.97°, γ = 90.47°
Positions (direct):
Ga 0.000 0.000 0.000
Sn 0.125 0.125 0.377
Sn 0.875 0.875 0.623
H 0.458 0.458 0.820
H 0.542 0.542 0.180
Pd 0.056 0.560 0.186
Pd 0.376 0.376 0.612
Pd 0.440 0.944 0.814
Pd 0.500 0.500 0.000
Pd 0.560 0.056 0.186
Pd 0.624 0.624 0.388
Pd 0.944 0.440 0.814

Main lines, in order of falling intensity (10° ≤ 2θ ≤ 90°):
2θ (°)  Rel. int.
40.55  100.0
38.46  89.8
45.24  77.2
37.86  74.1
42.45  55.0
35.68  53.0


Please write out number 2 again, unchanged.
Diffraction record for NaSrScBr6. The powder X-ray diffraction pattern is theoretical, not measured: it uses a structure optimized by DFT (GGA-PBE) and Cu Kα (λ = 1.5418 Å).

Atomic structure:
a = 7.397 Å, b = 7.397 Å, c = 12.937 Å
α = 90.00°, β = 90.00°, γ = 120.00°
Positions (direct):
Na 0.000 0.000 0.000
Na 0.000 0.000 0.500
Sr 0.333 0.667 0.250
Sr 0.667 0.333 0.750
Sc 0.333 0.667 0.750
Sc 0.667 0.333 0.250
Br 0.040 0.371 0.629
Br 0.040 0.669 0.871
Br 0.331 0.371 0.871
Br 0.331 0.960 0.629
Br 0.371 0.040 0.129
Br 0.371 0.331 0.371
Br 0.629 0.669 0.629
Br 0.629 0.960 0.871
Br 0.669 0.040 0.371
Br 0.669 0.629 0.129
Br 0.960 0.331 0.129
Br 0.960 0.629 0.371

Main lines, in order of falling intensity (10° ≤ 2θ ≤ 90°):
2θ (°)  Rel. int.
27.79  100.0
36.92  40.8
42.33  29.1
48.90  21.2
51.39  12.7
19.50  12.3